[1]
Calculated X-ray diffraction stick pattern
Compound: MgV3OF11
Radiation: Cu Kα X-rays
Structure: a DFT-relaxed cell (PBE+U, the Materials Project)
No peak broadening, texture or thermal motion is included.

Most intense lines, 2θ = 5–70°, by angle:
| 2θ (°) | I (rel.) | hkl |
| --- | --- | --- |
| 14.85 | 95 | 0 1 0 |
| 18.33 | 65 | 0 1 -1 |
| 19.18 | 77 | 1 0 -1 |
| 23.30 | 100 | 1 0 1 |
| 23.89 | 74 | -1 1 1 |
| 25.85 | 26 | 1 -1 1 |
| 27.38 | 46 | 1 0 -2 |
| 29.52 | 28 | 1 1 1 |
| 30.44 | 26 | 0 1 2 |
| 31.24 | 42 | 0 2 -1 |

Atomic structure:
```
data_MgV3OF11
_cell_length_a 5.252
_cell_length_b 6.029
_cell_length_c 7.333
_cell_angle_alpha 94.82
_cell_angle_beta 101.03
_cell_angle_gamma 95.58
_space_group_name_H-M_alt 'P 1'
_space_group_IT_number 1
loop_
_space_group_symop_operation_xyz
'x,y,z'
loop_
_atom_site_label
_atom_site_type_symbol
_atom_site_fract_x
_atom_site_fract_y
_atom_site_fract_z
Mg1 Mg 0.000 0.000 0.000
V1 V 0.299 0.328 0.446
V2 V 0.489 0.660 0.178
V3 V 0.870 0.510 0.788
O1 O 0.573 0.488 0.642
F1 F 0.010 0.806 0.765
F2 F 0.038 0.181 0.243
F3 F 0.040 0.365 0.596
F4 F 0.217 0.492 0.961
F5 F 0.228 0.606 0.351
F6 F 0.352 0.923 0.084
F7 F 0.384 0.072 0.521
F8 F 0.535 0.357 0.269
F9 F 0.741 0.807 0.364
F10 F 0.774 0.690 0.009
F11 F 0.803 0.218 0.877
```

=====

[2]
Calculated X-ray diffraction stick pattern
Compound: MgV6O5F19
Radiation: Cu Kα X-rays
Structure: a DFT-relaxed cell (PBE+U, the Materials Project)
No peak broadening, texture or thermal motion is included.

Most intense lines, 2θ = 5–70°, by angle:
| 2θ (°) | I (rel.) | hkl |
| --- | --- | --- |
| 17.39 | 71 | 0 0 3 |
| 25.02 | 100 | 1 -1 1 |
| 25.17 | 33 | -1 1 2 |
| 33.28 | 10 | 0 2 1 |
| 35.21 | 13 | 0 0 6 |
| 38.62 | 10 | 2 1 -1 |
| 47.89 | 13 | 2 2 1 |
| 48.08 | 11 | -2 2 1 |
| 50.70 | 10 | 1 -1 7 |
| 54.69 | 8 | 1 3 3 |

Atomic structure:
```
data_MgV6O5F19
_cell_length_a 5.341
_cell_length_b 5.384
_cell_length_c 15.509
_cell_angle_alpha 80.49
_cell_angle_beta 89.79
_cell_angle_gamma 89.79
_space_group_name_H-M_alt 'P 1'
_space_group_IT_number 1
loop_
_space_group_symop_operation_xyz
'x,y,z'
loop_
_atom_site_label
_atom_site_type_symbol
_atom_site_fract_x
_atom_site_fract_y
_atom_site_fract_z
Mg1 Mg 0.000 0.000 0.000
V1 V 0.263 0.352 0.839
V2 V 0.289 0.958 0.514
V3 V 0.315 0.654 0.188
V4 V 0.702 0.834 0.836
V5 V 0.755 0.160 0.195
V6 V 0.772 0.483 0.518
O1 O 0.468 0.724 0.495
O2 O 0.473 0.052 0.826
O3 O 0.476 0.393 0.170
O4 O 0.537 0.880 0.175
O5 O 0.552 0.553 0.833
F1 F 0.039 0.938 0.203
F2 F 0.051 0.274 0.540
F3 F 0.060 0.623 0.865
F4 F 0.173 0.396 0.729
F5 F 0.174 0.075 0.408
F6 F 0.186 0.738 0.070
F7 F 0.289 0.235 0.961
F8 F 0.299 0.593 0.304
F9 F 0.334 0.946 0.628
F10 F 0.554 0.207 0.495
F11 F 0.670 0.441 0.628
F12 F 0.689 0.097 0.307
F13 F 0.727 0.793 0.960
F14 F 0.820 0.202 0.070
F15 F 0.830 0.568 0.405
F16 F 0.842 0.897 0.732
F17 F 0.963 0.117 0.868
F18 F 0.971 0.438 0.198
F19 F 0.983 0.771 0.540
```